The following is a calculated powder diffraction line list of Sc2CdTeO8. It was derived from a PBE-relaxed structure, using Cu Kα (λ = 1.5418 Å).

Largest 10 diffraction maxima, by angle, 2θ = 5–70°:
Position (°2θ), I/Imax, hkl
18.4, 551, 1 1 0
25.9, 696, 0 2 0
26.4, 661, 2 0 0
32.8, 1000, 1 1 2
37.3, 229, 2 2 0
37.6, 287, 0 2 2
42.3, 154, 3 1 0
50.2, 450, 1 3 2
50.8, 442, 3 1 2
64.4, 278, 3 3 2

Structure:
```
data_Sc2CdTeO8
_symmetry_space_group_name_H-M 'C m m m'
_symmetry_Int_Tables_number 65
_symmetry_space_group_name_Hall '-C 2 2'
_cell_length_a 6.742
_cell_length_b 6.889
_cell_length_c 6.640
_cell_angle_alpha 90.00
_cell_angle_beta 90.00
_cell_angle_gamma 90.00
loop_
_atom_site_label
_atom_site_fract_x
_atom_site_fract_y
_atom_site_fract_z
Sc1 0.000 0.000 0.246
Cd1 0.000 0.500 0.500
Te1 0.000 0.500 0.000
O1 0.000 0.307 0.214
O2 0.177 0.000 0.500
O3 0.210 0.000 0.000
```